[1]
This entry pairs a crystal structure of Sb2H3C3SCl6O5F3 with its calculated X-ray diffraction stick pattern. Radiation: Cu Kα (λ = 1.5418 Å). Structure: DFT lattice parameters and positions (GGA-PBE).
Lines closer than 0.1° are merged.

Atomic structure:
Unit cell a=7.095 b=9.980 c=14.433 alpha=90.37 beta=90.04 gamma=105.34
Element x y z (fractional)
1 Sb 0.158 0.273 0.363
2 Sb 0.159 0.273 0.137
3 Sb 0.841 0.727 0.863
4 Sb 0.842 0.727 0.637
5 H 0.198 0.429 0.749
6 H 0.358 0.665 0.696
7 H 0.428 0.415 0.807
8 H 0.572 0.585 0.193
9 H 0.642 0.335 0.304
10 H 0.802 0.571 0.251
11 C 0.352 0.475 0.765
12 C 0.415 0.921 0.250
13 C 0.436 0.603 0.735
14 C 0.564 0.397 0.265
15 C 0.585 0.079 0.750
16 C 0.648 0.525 0.235
17 S 0.178 0.973 0.250
18 S 0.822 0.027 0.750
19 Cl 0.102 0.833 0.960
20 Cl 0.104 0.832 0.541
21 Cl 0.143 0.503 0.385
22 Cl 0.144 0.502 0.115
23 Cl 0.407 0.283 0.471
24 Cl 0.411 0.283 0.031
25 Cl 0.589 0.717 0.969
26 Cl 0.593 0.717 0.529
27 Cl 0.856 0.498 0.885
28 Cl 0.857 0.497 0.615
29 Cl 0.896 0.168 0.459
30 Cl 0.898 0.167 0.040
31 O 0.004 0.763 0.751
32 O 0.024 0.847 0.250
33 O 0.196 0.059 0.164
34 O 0.196 0.060 0.336
35 O 0.367 0.329 0.252
36 O 0.633 0.671 0.748
37 O 0.804 0.940 0.664
38 O 0.804 0.941 0.836
39 O 0.976 0.153 0.750
40 O 0.996 0.237 0.249
41 F 0.422 0.844 0.174
42 F 0.422 0.845 0.326
43 F 0.431 0.966 0.750
44 F 0.569 0.034 0.250
45 F 0.578 0.155 0.674
46 F 0.578 0.156 0.826

Peak list (8 most intense, 10° ≤ 2θ ≤ 80°, in order of rising 2θ)
| index | two_theta | I (rel.) |
| --- | --- | --- |
| 0 1 1 | 11.0 | 100.0 |
| 1 0 0 | 12.9 | 15.5 |
| 1 -1 0 | 13.8 | 24.1 |
| 1 0 1 | 14.3 | 90.1 |
| 1 1 0 | 17.8 | 16.0 |
| 0 2 0 | 18.4 | 15.9 |
| -1 1 3 | 23.1 | 19.0 |
| -1 3 1 | 28.1 | 14.9 |

[2]
This entry pairs a crystal structure of Sb2H5C3SCl6O5F3 with its calculated X-ray diffraction stick pattern. Radiation: Cu Kα (λ = 1.5418 Å). Structure: DFT lattice parameters and positions (GGA-PBE).
Lines closer than 0.1° are merged.

Atomic structure:
Unit cell a=7.069 b=14.481 c=10.041 alpha=90.00 beta=105.10 gamma=90.00
Element x y z (fractional)
1 Sb 0.160 0.139 0.273
2 Sb 0.160 0.361 0.273
3 Sb 0.840 0.639 0.727
4 Sb 0.840 0.861 0.727
5 H 0.198 0.750 0.427
6 H 0.368 0.688 0.660
7 H 0.368 0.812 0.660
8 H 0.412 0.688 0.419
9 H 0.412 0.812 0.419
10 H 0.588 0.188 0.581
11 H 0.588 0.312 0.581
12 H 0.632 0.188 0.340
13 H 0.632 0.312 0.340
14 H 0.802 0.250 0.573
15 C 0.359 0.750 0.461
16 C 0.416 0.250 0.921
17 C 0.420 0.750 0.617
18 C 0.580 0.250 0.383
19 C 0.584 0.750 0.079
20 C 0.641 0.250 0.539
21 S 0.178 0.250 0.974
22 S 0.822 0.750 0.026
23 Cl 0.100 0.542 0.831
24 Cl 0.100 0.958 0.831
25 Cl 0.141 0.115 0.500
26 Cl 0.141 0.385 0.500
27 Cl 0.408 0.030 0.283
28 Cl 0.408 0.470 0.283
29 Cl 0.592 0.530 0.717
30 Cl 0.592 0.970 0.717
31 Cl 0.859 0.615 0.500
32 Cl 0.859 0.885 0.500
33 Cl 0.900 0.042 0.169
34 Cl 0.900 0.458 0.169
35 O 0.007 0.750 0.762
36 O 0.025 0.250 0.849
37 O 0.195 0.164 0.060
38 O 0.195 0.336 0.060
39 O 0.365 0.250 0.327
40 O 0.635 0.750 0.673
41 O 0.805 0.664 0.940
42 O 0.805 0.836 0.940
43 O 0.975 0.750 0.151
44 O 0.993 0.250 0.238
45 F 0.423 0.174 0.845
46 F 0.423 0.326 0.845
47 F 0.431 0.750 0.967
48 F 0.569 0.250 0.033
49 F 0.577 0.674 0.155
50 F 0.577 0.826 0.155

Peak list (8 most intense, 10° ≤ 2θ ≤ 80°, in order of rising 2θ)
| index | two_theta | I (rel.) |
| --- | --- | --- |
| 0 1 1 | 11.0 | 100.0 |
| 1 0 -1 | 13.8 | 23.8 |
| 1 1 0 | 14.3 | 84.5 |
| 1 0 1 | 17.7 | 15.6 |
| 0 0 2 | 18.3 | 16.0 |
| 0 3 1 | 20.5 | 27.8 |
| 1 3 -1 | 23.1 | 18.4 |
| 1 4 1 | 30.5 | 17.3 |